Record 1
Diffraction record for NiBi. The X-ray powder pattern is theoretical, not measured: it uses DFT lattice parameters and positions (PBE) and Cu Ka.
Intensities are scaled so that the largest is 100.

Main lines, low angle first (2θ from 15° to 90°):
2θ/deg  I/Imax
29.93  100
42.32  35
43.37  43
53.59  20
58.16  16
71.30  21

a b c (Å): 4.173 4.173 5.296
angles (deg): 90.00 90.00 120.00
Positions (direct):
Ni 0.000 0.000 0.000
Ni 0.000 0.000 0.500
Bi 0.333 0.667 0.250
Bi 0.667 0.333 0.750



Record 2
Diffraction record for PrNiBi. The X-ray powder pattern is theoretical, not measured: it uses DFT lattice parameters and positions (PBE) and Cu Ka.
Intensities are scaled so that the largest is 100.

Main lines, low angle first (2θ from 15° to 90°):
2θ/deg  I/Imax
26.81  59
38.27  100
47.34  17
55.24  17
62.44  24
69.19  35

a b c (Å): 6.652 6.652 6.652
angles (deg): 90.00 90.00 90.00
Positions (direct):
Pr 0.000 0.000 0.000
Pr 0.000 0.500 0.500
Pr 0.500 0.000 0.500
Pr 0.500 0.500 0.000
Ni 0.250 0.250 0.250
Ni 0.250 0.750 0.750
Ni 0.750 0.250 0.750
Ni 0.750 0.750 0.250
Bi 0.000 0.000 0.500
Bi 0.000 0.500 0.000
Bi 0.500 0.000 0.000
Bi 0.500 0.500 0.500